Starting from a crystal structure in the Materials Project, relaxed with GGA+U, the X-ray diffraction stick pattern of LiCoC2O6 was simulated for CuKα.
Neutral-atom scattering factors, no anomalous dispersion.

Atomic structure:
```
data_LiCoC2O6
_chemical_formula_sum 'Li4 Co4 C8 O24'
_symmetry_space_group_name_H-M 'P 1'
_symmetry_Int_Tables_number 1
_cell_length_a 5.817
_cell_length_b 6.439
_cell_length_c 15.338
_cell_angle_alpha 87.09
_cell_angle_beta 83.50
_cell_angle_gamma 63.21
loop_
_symmetry_equiv_pos_as_xyz
'x,y,z'
loop_
_atom_site_label
_atom_site_type_symbol
_atom_site_fract_x
_atom_site_fract_y
_atom_site_fract_z
_atom_site_occupancy
Li1 Li 0.000 0.000 0.000 1
Li2 Li 0.005 0.005 0.500 1
Li3 Li 0.155 0.684 0.253 1
Li4 Li 0.166 0.687 0.747 1
Co1 Co 0.444 0.131 0.338 1
Co2 Co 0.457 0.139 0.837 1
Co3 Co 0.738 0.553 0.585 1
Co4 Co 0.748 0.550 0.088 1
C1 C 0.100 0.526 0.444 1
C2 C 0.100 0.531 0.943 1
C3 C 0.526 0.984 0.984 1
C4 C 0.538 0.981 0.483 1
C5 C 0.665 0.706 0.235 1
C6 C 0.673 0.705 0.732 1
C7 C 0.777 0.159 0.197 1
C8 C 0.794 0.159 0.691 1
O1 O 0.160 0.656 0.484 1
O2 O 0.164 0.655 0.985 1
O3 O 0.213 0.446 0.363 1
O4 O 0.219 0.453 0.863 1
O5 O 0.315 0.027 0.952 1
O6 O 0.328 0.026 0.446 1
O7 O 0.492 0.671 0.202 1
O8 O 0.513 0.654 0.694 1
O9 O 0.534 0.226 0.226 1
O10 O 0.552 0.220 0.721 1
O11 O 0.578 0.875 0.557 1
O12 O 0.587 0.876 0.057 1
O13 O 0.600 0.815 0.805 1
O14 O 0.626 0.811 0.308 1
O15 O 0.676 0.063 0.939 1
O16 O 0.687 0.059 0.441 1
O17 O 0.812 0.239 0.116 1
O18 O 0.831 0.238 0.610 1
O19 O 0.894 0.620 0.190 1
O20 O 0.901 0.632 0.690 1
O21 O 0.919 0.470 0.972 1
O22 O 0.923 0.460 0.474 1
O23 O 0.965 0.034 0.238 1
O24 O 0.983 0.031 0.731 1
```

Most intense lines, 10° ≤ 2θ ≤ 80°, sorted by position:
(hkl)	2theta	intensity
1 1 0	17.2	57
0 1 -2	19.3	38
1 1 2	19.8	100
1 1 -2	21.7	24
1 -1 0	27.9	11
2 1 0	31.0	22
0 2 0	31.1	14
0 2 2	33.3	11
2 1 4	36.8	14
2 0 -2	37.9	17